1.
Er11In6Si4: simulated powder XRD pattern (copper Kα), based on a GGA-PBE-relaxed structure.
Neutral-atom scattering factors, no anomalous dispersion.

Crystal structure
Cell lengths 11.3781, 11.3781, 11.3781 Å; angles 119.94, 119.94, 90.11 degrees
Sites, in units of the cell vectors:
Er 0.0661 0.3163 0.7498
Er 0.1018 0.4492 0.3474
Er 0.1018 0.7544 0.6526
Er 0.1706 0.1706 0.0000
Er 0.2456 0.8982 0.3474
Er 0.3163 0.0661 0.7498
Er 0.3163 0.5666 0.2502
Er 0.3318 0.3318 0.6636
Er 0.3318 0.6682 0.0000
Er 0.4334 0.6837 0.7498
Er 0.4492 0.1018 0.3474
Er 0.5508 0.8982 0.6526
Er 0.5666 0.3163 0.2502
Er 0.6682 0.3318 0.0000
Er 0.6682 0.6682 0.3364
Er 0.6837 0.4334 0.7498
Er 0.6837 0.9339 0.2502
Er 0.7544 0.1018 0.6526
Er 0.8294 0.8294 0.0000
Er 0.8982 0.2456 0.3474
Er 0.8982 0.5508 0.6526
Er 0.9339 0.6837 0.2502
In 0.0340 0.0340 0.4105
In 0.0340 0.6235 0.0000
In 0.1288 0.1288 0.2576
In 0.1288 0.8712 0.0000
In 0.3765 0.3765 0.4105
In 0.3765 0.9660 0.0000
In 0.6235 0.0340 0.0000
In 0.6235 0.6235 0.5895
In 0.8712 0.1288 0.0000
In 0.8712 0.8712 0.7424
In 0.9660 0.3765 0.0000
In 0.9660 0.9660 0.5895
Si 0.1523 0.5000 0.6523
Si 0.2500 0.7500 0.5000
Si 0.3848 0.3848 0.0000
Si 0.5000 0.1523 0.6523
Si 0.5000 0.8477 0.3477
Si 0.6152 0.6152 0.0000
Si 0.7500 0.2500 0.5000
Si 0.8477 0.5000 0.3477

Largest 8 diffraction maxima, in order of falling intensity, 10° ≤ 2θ ≤ 90°:
32.92°, I = 1000
33.39°, I = 848
66.46°, I = 214
36.62°, I = 202
35.28°, I = 177
28.82°, I = 162
57.23°, I = 146
54.34°, I = 127

---

2.
NaGaBP2H3O10: simulated powder XRD pattern (copper Kα), based on a GGA-PBE-relaxed structure.
Neutral-atom scattering factors, no anomalous dispersion.

Crystal structure
Cell lengths 8.5621, 8.5621, 7.9773 Å; angles 114.58, 114.58, 61.18 degrees
Sites, in units of the cell vectors:
Na 0.0711 0.9289 0.7500
Na 0.9289 0.0711 0.2500
Ga 0.0000 0.5000 0.0000
Ga 0.5000 0.0000 0.5000
B 0.3941 0.6059 0.7500
B 0.6059 0.3941 0.2500
P 0.1389 0.2619 0.6754
P 0.2619 0.1389 0.1754
P 0.7381 0.8611 0.8246
P 0.8611 0.7381 0.3246
H 0.0000 0.5000 0.5000
H 0.2701 0.4851 0.8693
H 0.4851 0.2701 0.3693
H 0.5000 0.0000 0.0000
H 0.5149 0.7299 0.6307
H 0.7299 0.5149 0.1307
O 0.0180 0.2107 0.7227
O 0.0263 0.3544 0.5114
O 0.1048 0.3220 0.1357
O 0.2055 0.4013 0.8797
O 0.2107 0.0180 0.2227
O 0.3220 0.1048 0.6357
O 0.3426 0.5733 0.8539
O 0.3544 0.0263 0.0114
O 0.4013 0.2055 0.3797
O 0.4267 0.6574 0.6461
O 0.5733 0.3426 0.3539
O 0.5987 0.7945 0.6203
O 0.6456 0.9737 0.9886
O 0.6574 0.4267 0.1461
O 0.6780 0.8952 0.3643
O 0.7893 0.9820 0.7773
O 0.7945 0.5987 0.1203
O 0.8952 0.6780 0.8643
O 0.9737 0.6456 0.4886
O 0.9820 0.7893 0.2773

Largest 8 diffraction maxima, in order of falling intensity, 10° ≤ 2θ ≤ 90°:
13.72°, I = 1000
20.94°, I = 343
32.86°, I = 313
19.93°, I = 288
34.61°, I = 234
24.07°, I = 216
30.42°, I = 214
34.14°, I = 182

---

3.
Sm3SbO3: simulated powder XRD pattern (copper Kα), based on a GGA-PBE-relaxed structure.
Neutral-atom scattering factors, no anomalous dispersion.

Crystal structure
Cell lengths 7.0415, 7.0415, 12.0746 Å; angles 117.31, 117.31, 32.76 degrees
Sites, in units of the cell vectors:
Sm 0.1198 0.1198 0.4424
Sm 0.1280 0.1280 0.8989
Sm 0.3434 0.3434 0.7925
Sm 0.6566 0.6566 0.2075
Sm 0.8720 0.8720 0.1011
Sm 0.8802 0.8802 0.5576
Sb 0.3808 0.3808 0.3205
Sb 0.6192 0.6192 0.6795
O 0.0643 0.0643 0.1972
O 0.3106 0.3106 0.5900
O 0.3379 0.3379 0.9877
O 0.6621 0.6621 0.0123
O 0.6894 0.6894 0.4100
O 0.9357 0.9357 0.8028

Largest 8 diffraction maxima, in order of falling intensity, 10° ≤ 2θ ≤ 90°:
30.62°, I = 1000
31.15°, I = 889
30.12°, I = 576
29.61°, I = 531
55.71°, I = 270
45.69°, I = 236
55.40°, I = 180
53.47°, I = 169

---

4.
Lu5In4Ni2: simulated powder XRD pattern (copper Kα), based on a GGA-PBE-relaxed structure.
Neutral-atom scattering factors, no anomalous dispersion.

Crystal structure
Cell lengths 7.8805, 17.6664, 3.5317 Å; angles 90.00, 90.00, 90.00 degrees
Sites, in units of the cell vectors:
Lu 0.0000 0.0000 0.0000
Lu 0.1160 0.4119 0.0000
Lu 0.2454 0.2206 0.0000
Lu 0.2546 0.7206 0.0000
Lu 0.3840 0.9119 0.0000
Lu 0.5000 0.5000 0.0000
Lu 0.6160 0.0881 0.0000
Lu 0.7454 0.2794 0.0000
Lu 0.7546 0.7794 0.0000
Lu 0.8840 0.5881 0.0000
In 0.0751 0.8481 0.5000
In 0.2063 0.5678 0.5000
In 0.2937 0.0678 0.5000
In 0.4249 0.3481 0.5000
In 0.5751 0.6519 0.5000
In 0.7063 0.9322 0.5000
In 0.7937 0.4322 0.5000
In 0.9249 0.1519 0.5000
Ni 0.0241 0.3035 0.5000
Ni 0.4759 0.8035 0.5000
Ni 0.5241 0.1965 0.5000
Ni 0.9759 0.6965 0.5000

Largest 8 diffraction maxima, in order of falling intensity, 10° ≤ 2θ ≤ 90°:
35.63°, I = 1000
34.46°, I = 942
37.44°, I = 535
32.46°, I = 305
37.78°, I = 239
51.77°, I = 212
38.16°, I = 180
59.71°, I = 178

---

5.
SbHO3: simulated powder XRD pattern (copper Kα), based on a GGA-PBE-relaxed structure.
Neutral-atom scattering factors, no anomalous dispersion.

Crystal structure
Cell lengths 7.3603, 7.3603, 7.3603 Å; angles 117.61, 117.61, 94.20 degrees
Sites, in units of the cell vectors:
Sb 0.0000 0.0000 0.0000
Sb 0.0000 0.0000 0.5000
Sb 0.0000 0.5000 0.0000
Sb 0.5000 0.0000 0.5000
H 0.1826 0.4326 0.7500
H 0.4326 0.1826 0.2500
H 0.5674 0.8174 0.7500
H 0.8174 0.5674 0.2500
O 0.0634 0.3134 0.1268
O 0.0634 0.9366 0.7500
O 0.0852 0.3352 0.7500
O 0.3134 0.0634 0.6268
O 0.3134 0.6866 0.2500
O 0.3352 0.0852 0.2500
O 0.6648 0.9148 0.7500
O 0.6866 0.3134 0.7500
O 0.6866 0.9366 0.3733
O 0.9148 0.6648 0.2500
O 0.9366 0.0634 0.2500
O 0.9366 0.6866 0.8732

Largest 8 diffraction maxima, in order of falling intensity, 10° ≤ 2θ ≤ 90°:
14.60°, I = 1000
29.44°, I = 507
27.63°, I = 340
49.68°, I = 165
57.06°, I = 153
29.19°, I = 121
33.23°, I = 91
47.71°, I = 85

---

6.
Sm2MgS4: simulated powder XRD pattern (copper Kα), based on a GGA-PBE-relaxed structure.
Neutral-atom scattering factors, no anomalous dispersion.

Crystal structure
Cell lengths 13.8277, 8.1078, 6.6065 Å; angles 90.00, 90.00, 90.00 degrees
Sites, in units of the cell vectors:
Sm 0.0000 0.0000 0.0000
Sm 0.0000 0.5000 0.0000
Sm 0.2311 0.2500 0.4988
Sm 0.2689 0.7500 0.9988
Sm 0.5000 0.0000 0.5000
Sm 0.5000 0.5000 0.5000
Sm 0.7311 0.2500 0.0012
Sm 0.7689 0.7500 0.5012
Mg 0.0930 0.7500 0.4229
Mg 0.4070 0.2500 0.9229
Mg 0.5930 0.7500 0.0771
Mg 0.9070 0.2500 0.5771
S 0.0678 0.2500 0.7443
S 0.0921 0.7500 0.7870
S 0.1679 0.5143 0.2465
S 0.1679 0.9857 0.2465
S 0.3321 0.0143 0.7465
S 0.3321 0.4857 0.7465
S 0.4079 0.2500 0.2870
S 0.4322 0.7500 0.2443
S 0.5678 0.2500 0.7557
S 0.5921 0.7500 0.7130
S 0.6679 0.5143 0.2535
S 0.6679 0.9857 0.2535
S 0.8321 0.0143 0.7535
S 0.8321 0.4857 0.7535
S 0.9079 0.2500 0.2130
S 0.9322 0.7500 0.2557

Largest 8 diffraction maxima, in order of falling intensity, 10° ≤ 2θ ≤ 90°:
37.45°, I = 1000
18.47°, I = 930
26.59°, I = 646
23.53°, I = 543
14.86°, I = 539
25.47°, I = 491
26.01°, I = 490
37.66°, I = 418